Record 1
The following is a simulated X-ray diffraction stick pattern of Mg5Ag. It was derived from a DFT-relaxed cell (PBE, the Materials Project), using Cu Kα, 1.54184 Å.
Lines closer than 0.1° are merged.

Cell lengths 11.2850, 3.2194, 7.2667 Å; angles 90.00, 104.68, 90.00 degrees
Space group Cm (No. 8)
Unique sites:
Mg  0.0000  0.0000  0.0000 x2
Mg  0.0374  0.0000  0.6089 x2
Mg  0.1535  0.5000  0.3361 x2
Mg  0.3144  0.0000  0.6829 x2
Mg  0.3655  0.0000  0.2527 x2
Ag  0.2090  0.5000  0.9436 x2

The 10 most intense peaks (2θ = 5–70°), sorted by position:
Position (°2θ)  I_rel
12.6  56
16.2  32
17.9  23
28.9  13
32.5  25
33.6  16
36.2  30
37.3  100
38.3  18
38.4  18

---

Record 2
The following is a simulated X-ray diffraction stick pattern of MgAg3. It was derived from a DFT-relaxed cell (PBE, the Materials Project), using Cu Kα, 1.54184 Å.
Lines closer than 0.1° are merged.

Cell lengths 4.1079, 4.1079, 8.5548 Å; angles 90.00, 90.00, 90.00 degrees
Space group I4/mmm (No. 139)
Unique sites:
Mg  0.0000  0.0000  0.0000 x2
Ag  0.0000  0.0000  0.5000 x2
Ag  0.0000  0.5000  0.2500 x4

The 10 most intense peaks (2θ = 5–70°), sorted by position:
Position (°2θ)  I_rel
20.8  6
24.0  18
30.8  5
37.4  100
38.4  5
42.3  18
44.1  31
50.8  5
62.7  20
64.1  10

---

Record 3
The following is a simulated X-ray diffraction stick pattern of MgAg4. It was derived from a DFT-relaxed cell (PBE, the Materials Project), using Cu Kα, 1.54184 Å.
Lines closer than 0.1° are merged.

Cell lengths 3.0152, 3.0152, 34.9420 Å; angles 90.00, 90.00, 120.00 degrees
Space group R-3m (No. 166, hexagonal axes)
Unique sites:
Mg  0.0000  0.0000  0.0000 x3
Ag  0.0000  0.0000  0.1999 x6
Ag  0.0000  0.0000  0.3993 x6

The 10 most intense peaks (2θ = 5–70°), sorted by position:
Position (°2θ)  I_rel
7.6  38
15.2  9
22.9  4
34.4  4
34.7  4
36.7  100
38.7  29
43.3  62
61.5  21
64.1  18